(1)
ThO2: computed X-ray powder pattern (Cu Kα, 1.54184 Å), based on a structure optimized by DFT (GGA-PBE).

Main lines, sorted by position (15° ≤ 2θ ≤ 90°):
| 2θ (°) | I_rel | h k l |
| --- | --- | --- |
| 27.49 | 100 | 1 1 1 |
| 31.85 | 37 | 2 0 0 |
| 45.66 | 50 | 2 2 0 |
| 54.13 | 48 | 3 1 1 |
| 56.75 | 11 | 2 2 2 |
| 66.57 | 8 | 4 0 0 |
| 73.45 | 20 | 3 3 1 |
| 75.69 | 15 | 4 2 0 |
| 84.46 | 17 | 4 2 2 |

Cell and atoms:
Cell: 5.619 5.619 5.619 Å, 90.00 90.00 90.00°
Space group Fm-3m (No. 225)
Symmetry-distinct sites (fractional):
1 Th 0.000 0.000 0.000 [4 per cell]
2 O 0.250 0.250 0.250 [8 per cell]

(2)
Tm2Ga3Cu: computed X-ray powder pattern (Cu Kα, 1.54184 Å), based on a structure optimized by DFT (GGA-PBE).

Main lines, sorted by position (15° ≤ 2θ ≤ 90°):
| 2θ (°) | I_rel | h k l |
| --- | --- | --- |
| 23.62 | 23 | 1 0 0 |
| 34.76 | 100 | 1 0 2 |
| 41.53 | 57 | 1 1 0 |
| 45.31 | 9 | 0 1 3 |
| 51.57 | 6 | 0 0 4 |
| 55.24 | 26 | 0 2 2 |
| 57.47 | 7 | 0 1 4 |
| 68.28 | 14 | 1 1 4 |
| 71.41 | 24 | 2 1 2 |
| 75.77 | 9 | 3 0 0 |

Cell and atoms:
Cell: 4.3489 4.3489 7.0887 Å, 90.00 90.00 120.00°
Space group P3m1 (No. 156)
Symmetry-distinct sites (fractional):
1 Tm 0.0000 0.0000 0.0000 [1 per cell]
2 Tm 0.0000 0.0000 0.4693 [1 per cell]
3 Ga 0.3333 0.6667 0.2152 [1 per cell]
4 Ga 0.3333 0.6667 0.7855 [1 per cell]
5 Ga 0.6667 0.3333 0.6878 [1 per cell]
6 Cu 0.6667 0.3333 0.2766 [1 per cell]

(3)
MgCd5: computed X-ray powder pattern (Cu Kα, 1.54184 Å), based on a structure optimized by DFT (GGA-PBE).

Main lines, sorted by position (15° ≤ 2θ ≤ 90°):
| 2θ (°) | I_rel | h k l |
| --- | --- | --- |
| 19.15 | 8 | 1 0 0 |
| 25.33 | 8 | 1 0 1 |
| 33.19 | 31 | 0 0 2 |
| 33.49 | 24 | 1 1 0 |
| 37.51 | 100 | 1 1 1 |
| 47.87 | 17 | 1 1 2 |
| 59.86 | 16 | 3 0 0 |
| 62.17 | 21 | 1 1 3 |
| 70.19 | 19 | 3 0 2 |
| 72.83 | 13 | 2 2 1 |

Cell and atoms:
Cell: 5.3520 5.3520 5.3981 Å, 90.00 90.00 120.00°
Space group P-62m (No. 189)
Symmetry-distinct sites (fractional):
1 Mg 0.0000 0.0000 0.0000 [1 per cell]
2 Cd 0.0000 0.3336 0.5000 [3 per cell]
3 Cd 0.3333 0.6667 0.0000 [2 per cell]